Record 1
Diffraction record for K2PuHgO5. The XRD peak list is simulated, not measured: it uses a GGA-PBE-relaxed structure and Cu Kα (λ = 1.5418 Å).

Structural model:
Lattice parameters (Å, degrees): 4.3415 7.2633 11.5281 90.00 90.00 90.00
Space group Immm (No. 71)
Symmetry-distinct sites (fractional):
1 K 0.0000 0.0000 0.2489 x4
2 Pu 0.0000 0.5000 0.5000 x2
3 Hg 0.0000 0.5000 0.0000 x2
4 O 0.0000 0.0000 0.0000 x2
5 O 0.0000 0.3207 0.3796 x8

Largest 12 diffraction maxima, sorted by position, 2θ = 5–70°:
index  two_theta  intensity
0 0 2  15.37  568
1 1 0  23.88  400
0 2 0  24.51  348
1 1 2  28.52  1000
0 2 2  29.06  253
0 0 4  31.03  175
1 1 4  39.53  165
0 2 4  39.94  270
1 3 2  45.70  274
2 0 4  52.82  133
1 1 6  53.71  284
2 2 4  59.03  164



Record 2
Diffraction record for Li2HSeO4. The XRD peak list is simulated, not measured: it uses a GGA-PBE-relaxed structure and Cu Kα (λ = 1.5418 Å).

Structural model:
Lattice parameters (Å, degrees): 10.6594 6.5045 6.6988 90.00 127.33 90.00
Space group Cm (No. 8)
Symmetry-distinct sites (fractional):
1 Li 0.0000 0.0000 0.0000 x2
2 Li 0.0354 0.5000 0.5171 x2
3 Li 0.2493 0.2650 0.0324 x4
4 H 0.1258 0.2666 0.3196 x4
5 Se 0.0462 0.0000 0.5288 x2
6 Se 0.4772 0.0000 0.9613 x2
7 O 0.0860 0.5000 0.8387 x2
8 O 0.1082 0.2705 0.1549 x4
9 O 0.1568 0.2126 0.6022 x4
10 O 0.3961 0.0000 0.1517 x2
11 O 0.4084 0.5000 0.2139 x2
12 O 0.4663 0.5000 0.6770 x2

Largest 12 diffraction maxima, sorted by position, 2θ = 5–70°:
index  two_theta  intensity
1 1 -1  19.02  1000
2 0 0  20.96  471
2 0 -2  26.62  173
0 2 0  27.42  178
1 1 1  28.17  348
3 1 -1  28.73  156
0 0 2  33.65  83
4 0 -2  34.60  126
2 2 0  34.77  331
1 3 -1  43.92  117
4 2 -2  44.73  93
4 2 -4  62.38  79



Record 3
Diffraction record for Hf5Ga2H2. The XRD peak list is simulated, not measured: it uses a GGA-PBE-relaxed structure and Cu Kα (λ = 1.5418 Å).

Structural model:
Lattice parameters (Å, degrees): 14.7942 7.1334 5.7578 90.00 90.00 90.00
Space group Ima2 (No. 46)
Symmetry-distinct sites (fractional):
1 Hf 0.0410 0.2453 0.0000 x8
2 Hf 0.1494 0.5661 0.2552 x8
3 Hf 0.2500 0.1592 0.2375 x4
4 Ga 0.0964 0.5650 0.7574 x8
5 H 0.0000 0.0000 0.7594 x4
6 H 0.2500 0.0779 0.5896 x4

Largest 12 diffraction maxima, sorted by position, 2θ = 5–70°:
index  two_theta  intensity
2 2 0  27.77  255
1 2 1  30.09  547
4 1 1  31.36  335
5 1 0  32.77  899
2 0 2  33.40  627
4 2 0  34.95  533
3 1 2  38.34  1000
0 2 2  40.26  509
6 1 1  41.82  530
3 3 0  42.17  581
7 1 2  55.45  348
5 3 2  59.30  398



Record 4
Diffraction record for YGa6Tc2. The XRD peak list is simulated, not measured: it uses a GGA-PBE-relaxed structure and Cu Kα (λ = 1.5418 Å).

Structural model:
Lattice parameters (Å, degrees): 3.5381 6.7638 12.8330 90.00 90.00 90.00
Space group Immm (No. 71)
Symmetry-distinct sites (fractional):
1 Y 0.0000 0.0000 0.0000 x2
2 Ga 0.0000 0.1737 0.5000 x4
3 Ga 0.0000 0.3023 0.3168 x8
4 Tc 0.0000 0.5000 0.1319 x4

Largest 12 diffraction maxima, sorted by position, 2θ = 5–70°:
index  two_theta  intensity
0 1 1  14.81  148
1 1 0  28.47  107
0 2 2  29.86  103
1 1 2  31.77  481
1 2 1  37.45  1000
1 1 4  40.22  586
0 0 6  42.25  264
1 2 3  42.59  157
1 0 5  43.56  304
0 3 3  45.48  603
2 0 0  51.66  458
2 0 6  68.88  118



Record 5
Diffraction record for Mn3Os4Ru2. The XRD peak list is simulated, not measured: it uses a GGA-PBE-relaxed structure and Cu Kα (λ = 1.5418 Å).

Structural model:
Lattice parameters (Å, degrees): 12.9047 8.9220 4.3899 90.00 99.51 90.00
Space group C2/c (No. 15)
Symmetry-distinct sites (fractional):
1 Mn 0.0000 0.1553 0.2500 x4
2 Mn 0.1675 0.3424 0.0843 x8
3 Os 0.0651 0.3932 0.5348 x8
4 Os 0.2319 0.1057 0.3700 x8
5 Ru 0.1024 0.1084 0.7993 x8

Largest 12 diffraction maxima, sorted by position, 2θ = 5–70°:
index  two_theta  intensity
1 1 0  12.11  201
1 1 1  24.88  164
2 2 -1  30.48  306
1 3 1  38.03  309
5 1 -1  39.30  603
0 4 0  40.44  514
1 1 -2  42.41  671
6 0 0  42.62  152
4 2 1  43.04  1000
5 3 -1  49.12  484
1 3 -2  51.76  187
1 5 -2  67.67  194



Record 6
Diffraction record for Li3Cd3In2. The XRD peak list is simulated, not measured: it uses a GGA-PBE-relaxed structure and Cu Kα (λ = 1.5418 Å).

Structural model:
Lattice parameters (Å, degrees): 17.2919 4.4379 4.5263 90.00 104.55 90.00
Space group C2/m (No. 12)
Symmetry-distinct sites (fractional):
1 Li 0.0000 0.0000 0.0000 x2
2 Li 0.1225 0.0000 0.6213 x4
3 Cd 0.0000 0.5000 0.5000 x2
4 Cd 0.1177 0.5000 0.1152 x4
5 In 0.2478 0.0000 0.2486 x4

Largest 12 diffraction maxima, sorted by position, 2θ = 5–70°:
index  two_theta  intensity
2 0 0  10.57  210
1 1 0  20.71  814
2 0 1  25.20  214
4 0 -1  25.48  221
6 0 -1  33.48  160
3 1 1  35.40  1000
5 1 -1  35.67  983
2 0 -2  39.83  364
0 2 0  40.66  343
8 0 0  43.24  271
2 2 -2  58.23  229
8 2 0  60.85  188